# 1
This entry pairs a crystal structure of PaNiIrRu with its computed powder diffractogram. Radiation: Cu Kα (weighted mean of Kα1 and Kα2). Structure: DFT lattice parameters and positions (PBE).
Lines closer than 0.1° are merged.

```
data_PaNiIrRu
_chemical_formula_sum 'Pa1 Ni1 Ir1 Ru1'
_cell_length_a 3.9154
_cell_length_b 3.9990
_cell_length_c 4.1199
_cell_angle_alpha 90.00
_cell_angle_beta 90.00
_cell_angle_gamma 90.00
_space_group_name_H-M_alt 'P m m m'
_space_group_IT_number 47
_space_group_name_Hall '-P 2 2'
loop_
_atom_site_label
_atom_site_type_symbol
_atom_site_fract_x
_atom_site_fract_y
_atom_site_fract_z
Pa1 Pa 0.0000 0.0000 0.0000
Ni1 Ni 0.0000 0.5000 0.5000
Ir1 Ir 0.5000 0.0000 0.5000
Ru1 Ru 0.5000 0.5000 0.0000
```

Peak list (8 most intense, 2θ from 10° to 90°, sorted by position)
Position (°2θ)  I/Imax  hkl
22.2  18  0 1 0
31.5  15  1 0 1
38.9  100  1 1 1
44.0  18  0 0 2
45.4  16  0 2 0
46.4  15  2 0 0
77.4  13  1 1 3
79.4  13  1 3 1

=====

# 2
This entry pairs a crystal structure of Pm3Ni3Ir with its computed powder diffractogram. Radiation: Cu Kα (weighted mean of Kα1 and Kα2). Structure: DFT lattice parameters and positions (PBE).
Lines closer than 0.1° are merged.

```
data_Pm3Ni3Ir
_chemical_formula_sum 'Pm12 Ni12 Ir4'
_cell_length_a 4.3189
_cell_length_b 9.8153
_cell_length_c 13.1812
_cell_angle_alpha 90.00
_cell_angle_beta 90.00
_cell_angle_gamma 90.00
_space_group_name_H-M_alt 'C m c m'
_space_group_IT_number 63
_space_group_name_Hall '-C 2c 2'
loop_
_atom_site_label
_atom_site_type_symbol
_atom_site_fract_x
_atom_site_fract_y
_atom_site_fract_z
Pm1 Pm 0.0000 0.0180 0.2500
Pm2 Pm 0.0000 0.2734 0.6008
Ni1 Ni 0.0000 0.3144 0.2500
Ni2 Ni 0.0000 0.4367 0.0865
Ir1 Ir 0.0000 0.0000 0.0000
```

Peak list (8 most intense, 2θ from 10° to 90°, sorted by position)
Position (°2θ)  I/Imax  hkl
30.4  80  1 1 3
32.7  79  0 2 4
34.4  69  1 3 0
35.5  100  1 1 4
36.6  42  0 4 0
40.2  50  1 3 3
41.8  63  2 0 0
54.1  39  2 2 4

=====

# 3
This entry pairs a crystal structure of PmNiSbIr with its computed powder diffractogram. Radiation: Cu Kα (weighted mean of Kα1 and Kα2). Structure: DFT lattice parameters and positions (PBE).
Lines closer than 0.1° are merged.

```
data_PmNiSbIr
_chemical_formula_sum 'Pm4 Ni4 Sb4 Ir4'
_cell_length_a 6.7269
_cell_length_b 6.7269
_cell_length_c 6.7269
_cell_angle_alpha 90.00
_cell_angle_beta 90.00
_cell_angle_gamma 90.00
_space_group_name_H-M_alt 'F -4 3 m'
_space_group_IT_number 216
_space_group_name_Hall 'F -4 2 3'
loop_
_atom_site_label
_atom_site_type_symbol
_atom_site_fract_x
_atom_site_fract_y
_atom_site_fract_z
Pm1 Pm 0.0000 0.0000 0.0000
Ni1 Ni 0.2500 0.2500 0.7500
Sb1 Sb 0.0000 0.0000 0.5000
Ir1 Ir 0.2500 0.2500 0.2500
```

Peak list (8 most intense, 2θ from 10° to 90°, sorted by position)
Position (°2θ)  I/Imax  hkl
22.9  14  1 1 1
37.8  100  2 2 0
44.7  8  3 1 1
54.6  17  4 0 0
59.9  3  3 3 1
68.3  35  4 2 2
80.8  11  4 4 0
85.4  3  5 3 1

=====

# 4
This entry pairs a crystal structure of Pr3Ni4Ir4 with its computed powder diffractogram. Radiation: Cu Kα (weighted mean of Kα1 and Kα2). Structure: DFT lattice parameters and positions (PBE).
Lines closer than 0.1° are merged.

```
data_Pr3Ni4Ir4
_chemical_formula_sum 'Pr6 Ni8 Ir8'
_cell_length_a 7.5495
_cell_length_b 7.5495
_cell_length_c 7.5495
_cell_angle_alpha 90.00
_cell_angle_beta 90.00
_cell_angle_gamma 90.00
_space_group_name_H-M_alt 'I -4 3 m'
_space_group_IT_number 217
_space_group_name_Hall 'I -4 2 3'
loop_
_atom_site_label
_atom_site_type_symbol
_atom_site_fract_x
_atom_site_fract_y
_atom_site_fract_z
Pr1 Pr 0.0000 0.0000 0.5000
Ni1 Ni 0.1987 0.1987 0.8013
Ir1 Ir 0.1238 0.1238 0.1238
```

Peak list (8 most intense, 2θ from 10° to 90°, sorted by position)
Position (°2θ)  I/Imax  hkl
16.6  79  1 1 0
29.0  46  2 1 1
33.6  71  2 2 0
37.7  100  3 1 0
41.4  44  2 2 2
44.9  82  3 2 1
51.3  49  4 1 1
70.6  34  4 4 0

=====

# 5
This entry pairs a crystal structure of Pr4NiIr2 with its computed powder diffractogram. Radiation: Cu Kα (weighted mean of Kα1 and Kα2). Structure: DFT lattice parameters and positions (PBE).
Lines closer than 0.1° are merged.

```
data_Pr4NiIr2
_chemical_formula_sum 'Pr16 Ni4 Ir8'
_cell_length_a 12.6488
_cell_length_b 8.9122
_cell_length_c 8.9122
_cell_angle_alpha 90.00
_cell_angle_beta 134.72
_cell_angle_gamma 90.00
_space_group_name_H-M_alt 'C 1 2 1'
_space_group_IT_number 5
_space_group_name_Hall 'C 2y'
loop_
_atom_site_label
_atom_site_type_symbol
_atom_site_fract_x
_atom_site_fract_y
_atom_site_fract_z
Pr1 Pr 0.0573 0.0000 0.3687
Pr2 Pr 0.0578 0.6170 0.2458
Pr3 Pr 0.1924 0.2465 0.1340
Pr4 Pr 0.1921 0.3701 0.7508
Ni1 Ni 0.1247 0.3086 0.3748
Ir1 Ir 0.0000 0.6782 0.5000
Ir2 Ir 0.0000 0.9383 0.0000
Ir3 Ir 0.2499 0.0585 0.8703
```

Peak list (8 most intense, 2θ from 10° to 90°, sorted by position)
Position (°2θ)  I/Imax  hkl
31.5  41  4 0 -1
31.7  100  3 1 -3
37.6  37  2 2 1
37.7  28  1 3 -2
47.7  15  0 2 3
52.1  15  1 1 3
52.3  14  4 4 -3
64.4  17  7 1 -6

=====

# 6
This entry pairs a crystal structure of Pr8Ni2Ir with its computed powder diffractogram. Radiation: Cu Kα (weighted mean of Kα1 and Kα2). Structure: DFT lattice parameters and positions (PBE).
Lines closer than 0.1° are merged.

```
data_Pr8Ni2Ir
_chemical_formula_sum 'Pr16 Ni4 Ir2'
_cell_length_a 8.5776
_cell_length_b 12.5001
_cell_length_c 6.6028
_cell_angle_alpha 90.00
_cell_angle_beta 110.54
_cell_angle_gamma 90.00
_space_group_name_H-M_alt 'C 1 m 1'
_space_group_IT_number 8
_space_group_name_Hall 'C -2y'
loop_
_atom_site_label
_atom_site_type_symbol
_atom_site_fract_x
_atom_site_fract_y
_atom_site_fract_z
Pr1 Pr 0.0000 0.0000 0.0000
Pr2 Pr 0.0752 0.3609 0.8421
Pr3 Pr 0.1396 0.1361 0.5877
Pr4 Pr 0.2189 0.5000 0.3998
Pr5 Pr 0.3667 0.1892 0.2221
Ni1 Ni 0.3507 0.3165 0.6932
Ir1 Ir 0.3466 0.0000 0.9734
```

Peak list (8 most intense, 2θ from 10° to 90°, sorted by position)
Position (°2θ)  I/Imax  hkl
26.0  39  2 2 -1
28.0  32  1 1 -2
30.1  92  1 3 1
30.5  43  2 0 1
32.3  100  3 1 -1
33.0  33  2 2 -2
39.0  31  1 5 -1
49.9  26  3 5 0